Calculated PXRD pattern of AcCo2O4 for CuKα, from a cell relaxed with PBE+U.

Principal peaks in the range 10° ≤ 2θ ≤ 90°, most intense first:
d = 2.798 Å, I = 100; d = 3.546 Å, I = 72; d = 4.555 Å, I = 65; d = 1.773 Å, I = 32; d = 1.916 Å, I = 27; d = 2.401 Å, I = 26; d = 1.396 Å, I = 23; d = 1.626 Å, I = 19; d = 2.826 Å, I = 18; d = 2.277 Å, I = 18

Cell and atoms:
```
data_AcCo2O4
_chemical_formula_sum 'Ac1 Co2 O4'
_space_group_name_H-M_alt 'P 1'
_space_group_IT_number 1
_space_group_name_Hall 'P 1'
_cell_length_a 4.5545
_cell_length_b 4.5545
_cell_length_c 5.6515
_cell_angle_alpha 90.00
_cell_angle_beta 90.00
_cell_angle_gamma 90.00
loop_
_atom_site_label
_atom_site_type_symbol
_atom_site_fract_x
_atom_site_fract_y
_atom_site_fract_z
Ac1 Ac 0.0000 0.0000 0.0000
Co1 Co 0.0000 0.5000 0.5000
Co2 Co 0.5000 0.0000 0.5000
O1 O 0.2506 0.2506 0.3091
O2 O 0.2506 0.7494 0.6909
O3 O 0.7494 0.2506 0.6909
O4 O 0.7494 0.7494 0.3091
```